(1)
This entry pairs a crystal structure of Pr2CdRh2 with its theoretical powder diffractogram. Radiation: Cu Kα X-rays. Structure: a crystal structure in the Materials Project, relaxed with PBE.

Peak list (10 most intense, 10 to 90 degrees two-theta, sorted by position)
2θ (°), d_spacing, I (rel.), index
32.34, 2.768, 34, 2 0 1
33.41, 2.682, 9, 2 2 0
34.49, 2.600, 100, 2 1 1
37.49, 2.399, 39, 3 1 0
44.77, 2.024, 17, 0 0 2
54.81, 1.675, 12, 4 1 1
59.78, 1.547, 19, 3 1 2
67.02, 1.396, 10, 5 1 1
70.83, 1.330, 10, 5 2 1
75.87, 1.254, 10, 2 1 3

Structural model:
abc: 7.585 7.585 4.049
angles: 90.00 90.00 90.00
Space group P4/mbm (No. 127)
Unique sites:
Pr 0.173 0.327 0.000 (multiplicity 4)
Cd 0.000 0.000 0.500 (multiplicity 2)
Rh 0.128 0.628 0.500 (multiplicity 4)


(2)
This entry pairs a crystal structure of Tl2CuF4 with its theoretical powder diffractogram. Radiation: Cu Kα X-rays. Structure: a crystal structure in the Materials Project, relaxed with PBE.

Peak list (10 most intense, 10 to 90 degrees two-theta, sorted by position)
2θ (°), d_spacing, I (rel.), index
22.11, 4.021, 26, 1 0 1
25.76, 3.459, 16, 0 0 4
28.74, 3.106, 100, 1 0 3
30.07, 2.972, 61, 1 1 0
39.04, 2.307, 16, 0 0 6
40.00, 2.254, 33, 1 1 4
43.05, 2.101, 31, 2 0 0
50.07, 1.822, 15, 1 1 6
52.58, 1.740, 39, 2 1 3
59.51, 1.553, 15, 2 0 6

Structural model:
abc: 4.202 4.202 13.836
angles: 90.00 90.00 90.00
Space group I4/mmm (No. 139)
Unique sites:
Tl 0.000 0.000 0.145 (multiplicity 4)
Cu 0.000 0.000 0.500 (multiplicity 2)
F 0.000 0.000 0.358 (multiplicity 4)
F 0.000 0.500 0.000 (multiplicity 4)


(3)
This entry pairs a crystal structure of MgSb2 with its theoretical powder diffractogram. Radiation: Cu Kα X-rays. Structure: a crystal structure in the Materials Project, relaxed with PBE.

Peak list (10 most intense, 10 to 90 degrees two-theta, sorted by position)
2θ (°), d_spacing, I (rel.), index
21.46, 4.141, 24, 2 0 1
22.79, 3.902, 31, 0 0 2
28.93, 3.086, 33, 1 1 0
30.22, 2.957, 24, 4 0 0
31.85, 2.809, 67, 4 0 -2
32.03, 2.794, 29, 1 1 1
34.47, 2.602, 33, 0 0 3
35.61, 2.521, 100, 1 1 -2
36.17, 2.483, 68, 3 1 0
57.67, 1.598, 20, 0 2 0

Structural model:
abc: 12.433 3.197 8.203
angles: 90.00 107.91 90.00
Space group C2/m (No. 12)
Unique sites:
Mg 0.034 0.000 0.302 (multiplicity 4)
Sb 0.124 0.500 0.006 (multiplicity 4)
Sb 0.174 0.500 0.613 (multiplicity 4)


(4)
This entry pairs a crystal structure of Zr3Ga2 with its theoretical powder diffractogram. Radiation: Cu Kα X-rays. Structure: a crystal structure in the Materials Project, relaxed with PBE.

Peak list (10 most intense, 10 to 90 degrees two-theta, sorted by position)
2θ (°), d_spacing, I (rel.), index
34.32, 2.613, 61, 2 0 1
36.46, 2.464, 100, 2 1 1
38.59, 2.333, 46, 3 1 0
44.27, 2.046, 10, 3 2 0
49.17, 1.853, 17, 0 0 2
51.03, 1.790, 14, 4 1 0
57.17, 1.611, 11, 4 1 1
58.65, 1.574, 9, 3 3 1
64.19, 1.451, 20, 3 1 2
69.78, 1.348, 14, 5 1 1

Structural model:
abc: 7.377 7.377 3.706
angles: 90.00 90.00 90.00
Space group P4/mbm (No. 127)
Unique sites:
Zr 0.000 0.000 0.000 (multiplicity 2)
Zr 0.177 0.323 0.500 (multiplicity 4)
Ga 0.123 0.623 0.000 (multiplicity 4)


(5)
This entry pairs a crystal structure of Sr3CaSn16 with its theoretical powder diffractogram. Radiation: Cu Kα X-rays. Structure: a crystal structure in the Materials Project, relaxed with PBE.

Peak list (10 most intense, 10 to 90 degrees two-theta, sorted by position)
2θ (°), d_spacing, I (rel.), index
27.30, 3.267, 13, 0 4 2
31.86, 2.809, 100, 1 0 5
31.97, 2.799, 82, 1 4 1
32.66, 2.742, 31, 0 4 4
37.80, 2.380, 33, 2 0 0
40.24, 2.241, 24, 0 4 6
50.80, 1.797, 18, 2 4 4
56.40, 1.631, 19, 2 4 6
62.08, 1.495, 20, 1 8 5
64.59, 1.443, 25, 3 0 5

Structural model:
abc: 4.759 14.128 17.396
angles: 90.00 90.00 90.00
Space group Imm2 (No. 44)
Unique sites:
Sr 0.000 0.000 0.000 (multiplicity 2)
Sr 0.000 0.250 0.776 (multiplicity 4)
Ca 0.000 0.500 0.000 (multiplicity 2)
Sn 0.000 0.000 0.798 (multiplicity 2)
Sn 0.000 0.105 0.192 (multiplicity 4)
Sn 0.000 0.123 0.389 (multiplicity 4)
Sn 0.000 0.143 0.583 (multiplicity 4)
Sn 0.000 0.251 0.978 (multiplicity 4)
Sn 0.000 0.354 0.584 (multiplicity 4)
Sn 0.000 0.375 0.388 (multiplicity 4)
Sn 0.000 0.396 0.191 (multiplicity 4)
Sn 0.000 0.500 0.800 (multiplicity 2)


(6)
This entry pairs a crystal structure of Pr7Ir3 with its theoretical powder diffractogram. Radiation: Cu Kα X-rays. Structure: a crystal structure in the Materials Project, relaxed with PBE.

Peak list (10 most intense, 10 to 90 degrees two-theta, sorted by position)
2θ (°), d_spacing, I (rel.), index
17.05, 5.200, 34, 1 0 1
29.61, 3.017, 43, 1 0 2
30.06, 2.973, 100, 2 1 1
30.21, 2.958, 29, 3 0 0
33.35, 2.687, 84, 3 0 1
34.50, 2.600, 70, 2 0 2
35.02, 2.562, 67, 2 2 0
38.84, 2.319, 31, 2 1 2
52.82, 1.733, 29, 3 0 3
53.61, 1.709, 43, 3 3 0

Structural model:
abc: 10.2481 10.2481 6.4163
angles: 90.00 90.00 120.00
Space group P6_3mc (No. 186)
Unique sites:
Pr 0.0818 0.5409 0.0000 (multiplicity 6)
Pr 0.1253 0.2506 0.3121 (multiplicity 6)
Pr 0.3333 0.6667 0.5262 (multiplicity 2)
Ir 0.1889 0.3779 0.7399 (multiplicity 6)


(7)
This entry pairs a crystal structure of LiAgF2 with its theoretical powder diffractogram. Radiation: Cu Kα X-rays. Structure: a crystal structure in the Materials Project, relaxed with PBE.

Peak list (10 most intense, 10 to 90 degrees two-theta, sorted by position)
2θ (°), d_spacing, I (rel.), index
14.01, 6.322, 100, 0 0 3
28.23, 3.161, 24, 0 0 6
34.15, 2.625, 90, 1 0 1
35.15, 2.553, 68, 0 1 2
38.92, 2.314, 22, 1 0 4
42.92, 2.107, 17, 0 0 9
48.02, 1.895, 22, 1 0 7
51.73, 1.767, 28, 0 1 8
59.97, 1.542, 18, 1 0 10
60.49, 1.530, 19, 1 1 0

Structural model:
abc: 3.0609 3.0609 18.9664
angles: 90.00 90.00 120.00
Space group R-3m (No. 166, hexagonal axes)
Unique sites:
Li 0.0000 0.0000 0.0000 (multiplicity 3)
Ag 0.0000 0.0000 0.5000 (multiplicity 3)
F 0.0000 0.0000 0.3898 (multiplicity 6)


(8)
This entry pairs a crystal structure of BaCaSmNbO6 with its theoretical powder diffractogram. Radiation: Cu Kα X-rays. Structure: a crystal structure in the Materials Project, relaxed with PBE.

Peak list (10 most intense, 10 to 90 degrees two-theta, sorted by position)
2θ (°), d_spacing, I (rel.), index
21.01, 4.229, 23, 1 1 0
29.69, 3.009, 93, 1 1 -2
29.85, 2.993, 100, 1 -1 2
30.09, 2.970, 90, 2 0 0
42.66, 2.119, 27, 0 0 4
42.81, 2.112, 50, 2 2 0
52.62, 1.739, 29, 0 2 -4
53.11, 1.724, 41, 3 1 -2
53.38, 1.716, 21, 3 -1 2
70.20, 1.341, 15, 1 -1 6

Structural model:
abc: 5.938 6.013 8.478
angles: 90.57 90.54 90.06
Space group P-1 (No. 2)
Unique sites:
Ba 0.005 0.032 0.251 (multiplicity 2)
Ca 0.491 0.541 0.254 (multiplicity 2)
Sm 0.000 0.500 0.500 (multiplicity 1)
Sm 0.500 0.000 0.000 (multiplicity 1)
Nb 0.000 0.500 0.000 (multiplicity 1)
Nb 0.500 0.000 0.500 (multiplicity 1)
O 0.107 0.500 0.769 (multiplicity 2)
O 0.194 0.771 0.039 (multiplicity 2)
O 0.226 0.807 0.471 (multiplicity 2)
O 0.274 0.311 0.061 (multiplicity 2)
O 0.319 0.282 0.444 (multiplicity 2)
O 0.434 0.059 0.732 (multiplicity 2)


(9)
This entry pairs a crystal structure of NbReSi with its theoretical powder diffractogram. Radiation: Cu Kα X-rays. Structure: a crystal structure in the Materials Project, relaxed with PBE.

Peak list (10 most intense, 10 to 90 degrees two-theta, sorted by position)
2θ (°), d_spacing, I (rel.), index
15.22, 5.822, 19, 0 1 1
26.52, 3.361, 35, 0 0 2
29.67, 3.011, 21, 2 2 0
36.99, 2.430, 100, 2 3 1
40.20, 2.243, 47, 2 2 2
40.94, 2.205, 29, 0 1 3
41.06, 2.198, 50, 0 4 2
48.79, 1.867, 18, 2 4 2
68.22, 1.375, 15, 4 1 3
76.34, 1.248, 15, 2 7 3

Structural model:
abc: 7.038 11.619 6.736
angles: 90.00 90.00 90.00
Space group Ima2 (No. 46)
Unique sites:
Nb 0.250 0.003 0.000 (multiplicity 4)
Nb 0.250 0.215 0.625 (multiplicity 4)
Nb 0.250 0.696 0.118 (multiplicity 4)
Re 0.000 0.000 0.662 (multiplicity 4)
Re 0.035 0.626 0.786 (multiplicity 8)
Si 0.004 0.667 0.414 (multiplicity 8)
Si 0.250 0.028 0.400 (multiplicity 4)


(10)
This entry pairs a crystal structure of YMg2Ti3S8 with its theoretical powder diffractogram. Radiation: Cu Kα X-rays. Structure: a crystal structure in the Materials Project, relaxed with PBE.

Peak list (10 most intense, 10 to 90 degrees two-theta, sorted by position)
2θ (°), d_spacing, I (rel.), index
14.64, 6.052, 55, 1 0 1
27.49, 3.245, 24, 0 1 5
28.05, 3.181, 55, 1 1 3
33.90, 2.644, 100, 0 2 4
44.56, 2.033, 17, 1 2 5
44.93, 2.017, 15, 0 3 3
48.00, 1.895, 48, 2 0 8
49.40, 1.845, 49, 2 2 0
61.26, 1.513, 15, 4 0 4
71.34, 1.322, 13, 0 4 8

Structural model:
abc: 7.3800 7.3800 18.8327
angles: 90.00 90.00 120.00
Space group R-3m (No. 166, hexagonal axes)
Unique sites:
Y 0.0000 0.0000 0.0000 (multiplicity 3)
Mg 0.0000 0.0000 0.3730 (multiplicity 6)
Ti 0.0000 0.5000 0.5000 (multiplicity 9)
S 0.0000 0.0000 0.2408 (multiplicity 6)
S 0.0127 0.5064 0.7605 (multiplicity 18)


(11)
This entry pairs a crystal structure of NaTh2F9 with its theoretical powder diffractogram. Radiation: Cu Kα X-rays. Structure: a crystal structure in the Materials Project, relaxed with PBE.

Peak list (10 most intense, 10 to 90 degrees two-theta, sorted by position)
2θ (°), d_spacing, I (rel.), index
20.03, 4.433, 48, 2 0 0
20.42, 4.350, 28, 0 0 2
24.68, 3.608, 100, 2 1 1
24.92, 3.574, 40, 1 1 2
28.76, 3.105, 20, 2 0 2
43.34, 2.088, 73, 4 1 1
43.74, 2.070, 28, 3 0 3
44.07, 2.055, 27, 1 1 4
48.32, 1.884, 15, 3 3 2
48.54, 1.875, 19, 3 2 3

Structural model:
abc: 8.866 8.866 8.699
angles: 90.00 90.00 90.00
Space group I-42m (No. 121)
Unique sites:
Na 0.000 0.500 0.000 (multiplicity 4)
Th 0.185 0.185 0.306 (multiplicity 8)
F 0.000 0.000 0.275 (multiplicity 4)
F 0.000 0.239 0.500 (multiplicity 8)
F 0.051 0.303 0.802 (multiplicity 16)
F 0.212 0.212 0.049 (multiplicity 8)


(12)
This entry pairs a crystal structure of La2Si3Rh with its theoretical powder diffractogram. Radiation: Cu Kα X-rays. Structure: a crystal structure in the Materials Project, relaxed with PBE.

Peak list (10 most intense, 10 to 90 degrees two-theta, sorted by position)
2θ (°), d_spacing, I (rel.), index
21.32, 4.168, 6, 1 1 0
24.66, 3.610, 23, 2 0 0
32.37, 2.766, 100, 2 0 2
41.98, 2.152, 13, 0 0 4
43.42, 2.084, 35, 2 2 0
49.29, 1.849, 7, 2 0 4
55.18, 1.665, 22, 4 0 2
61.98, 1.497, 24, 2 2 4
70.64, 1.333, 10, 2 0 6
72.70, 1.301, 19, 4 2 2

Structural model:
abc: 8.3369 8.3369 8.6091
angles: 90.00 90.00 120.00
Space group P6_3/mmc (No. 194)
Unique sites:
La 0.0000 0.0000 0.2500 (multiplicity 2)
La 0.0026 0.5013 0.2500 (multiplicity 6)
Si 0.1659 0.3318 0.0013 (multiplicity 12)
Rh 0.3333 0.6667 0.5051 (multiplicity 4)